No. 1
Computed X-ray diffraction stick pattern
Compound: Rb2CrH2Cl5O
Radiation: Cu Ka
Structure: a cell relaxed with PBE+U
Peak positions follow from Bragg's law for the DFT cell and can differ from measured ones.

Atomic structure:
Lattice parameters (Å, degrees): 14.196 9.844 7.346 90.00 90.00 90.00
Space group Pnma (No. 62)
Symmetry-distinct sites (fractional):
Rb 0.145 0.001 0.153 (multiplicity 8)
Cr 0.111 0.750 0.691 (multiplicity 4)
H 0.029 0.168 0.541 (multiplicity 8)
Cl 0.009 0.750 0.952 (multiplicity 4)
Cl 0.104 0.507 0.681 (multiplicity 8)
Cl 0.215 0.750 0.437 (multiplicity 4)
Cl 0.242 0.750 0.890 (multiplicity 4)
O 0.006 0.250 0.478 (multiplicity 4)

Peak list (8 most intense, 2θ from 10° to 90°, in order of rising 2θ)
- 15.05°, I 23
- 15.39°, I 22
- 25.10°, I 61
- 28.86°, I 24
- 30.82°, I 26
- 31.05°, I 100
- 35.16°, I 19
- 36.51°, I 36

No. 2
Computed X-ray diffraction stick pattern
Compound: V2Co2PbO8
Radiation: Cu Ka
Structure: a cell relaxed with PBE+U
Peak positions follow from Bragg's law for the DFT cell and can differ from measured ones.

Atomic structure:
Lattice parameters (Å, degrees): 12.561 12.561 8.589 90.00 90.00 90.00
Space group I4_1cd (No. 110)
Symmetry-distinct sites (fractional):
V 0.080 0.238 0.000 (multiplicity 16)
Co 0.168 0.329 0.634 (multiplicity 16)
Pb 0.000 0.000 0.216 (multiplicity 8)
O 0.004 0.325 0.599 (multiplicity 16)
O 0.005 0.149 0.402 (multiplicity 16)
O 0.159 0.316 0.873 (multiplicity 16)
O 0.160 0.173 0.138 (multiplicity 16)

Peak list (8 most intense, 2θ from 10° to 90°, in order of rising 2θ)
- 19.99°, I 36
- 23.00°, I 58
- 30.66°, I 100
- 31.15°, I 24
- 31.86°, I 56
- 42.30°, I 24
- 47.20°, I 30
- 56.02°, I 27

No. 3
Computed X-ray diffraction stick pattern
Compound: NaLaZrCrO6
Radiation: Cu Ka
Structure: a cell relaxed with PBE+U
Peak positions follow from Bragg's law for the DFT cell and can differ from measured ones.

Atomic structure:
Lattice parameters (Å, degrees): 7.987 7.987 7.987 90.00 90.00 90.00
Space group F-43m (No. 216)
Symmetry-distinct sites (fractional):
Na 0.000 0.000 0.000 (multiplicity 4)
La 0.000 0.000 0.500 (multiplicity 4)
Zr 0.250 0.250 0.750 (multiplicity 4)
Cr 0.250 0.250 0.250 (multiplicity 4)
O 0.009 0.250 0.250 (multiplicity 24)

Peak list (8 most intense, 2θ from 10° to 90°, in order of rising 2θ)
- 19.25°, I 41
- 31.69°, I 100
- 37.34°, I 24
- 45.42°, I 38
- 49.76°, I 11
- 56.44°, I 38
- 66.19°, I 22
- 75.25°, I 16